Structure and simulated X-ray diffraction stick pattern of WN2 (a structure optimized by DFT (GGA-PBE); Cu Kα X-rays).
Peak positions follow from Bragg's law for the DFT cell and can differ from measured ones.

The 12 most intense peaks (10° ≤ 2θ ≤ 90°), low angle first:
(hkl)  2θ/deg  I/Imax
1 1 0  25.98  100.0
1 0 1  35.49  78.3
2 0 0  37.07  30.1
2 1 1  52.26  61.9
2 2 0  53.43  15.8
3 1 0  60.34  17.8
3 0 1  65.79  17.4
1 1 2  69.03  13.1
2 0 2  75.11  8.5
3 2 1  78.00  15.9
2 2 2  86.86  8.0
4 1 1  89.66  13.2

Cell and atoms:
Cell lengths 4.8505, 4.8505, 2.9645 Å; angles 90.00, 90.00, 90.00 degrees
Space group P4_2/mnm (No. 136)
Unique sites:
W (0.0000, 0.0000, 0.0000)
N (0.1973, 0.1973, 0.5000)